Structure and theoretical XRD peak list of Sc2Tl3BiTe6 (a crystal structure in Alexandria, relaxed with GGA-PBE; Cu Kα (λ = 1.5418 Å)).

Cell and atoms:
```
Sc2Tl3BiTe6
1.0
3.7872 -6.5604 0.0000
3.7872 6.5604 0.0000
-2.5282 0.0000 8.0932
Sc Tl Bi Te
2 3 1 6
direct
0.1678 0.8322 0.0000
0.8322 0.1678 0.0000
0.0000 0.0000 0.5000
0.3394 0.6606 0.5000
0.6606 0.3394 0.5000
0.5000 0.5000 0.0000
0.0799 0.4303 0.7918
0.2172 0.2172 0.2048
0.4303 0.0799 0.7918
0.5697 0.9201 0.2082
0.7828 0.7828 0.7952
0.9201 0.5697 0.2082
```

Peak list (6 most intense, 2θ from 10° to 80°, in order of falling intensity)
| two_theta | d/Å | Rel. int. |
| --- | --- | --- |
| 27.8 | 3.213 | 100 |
| 38.0 | 2.368 | 38 |
| 41.3 | 2.187 | 36 |
| 50.5 | 1.808 | 19 |
| 67.2 | 1.393 | 15 |
| 29.9 | 2.986 | 13 |